For Rb2CuAgH6, a DFT-relaxed cell (PBE, Alexandria) gives the computed X-ray powder pattern in this record (λ = 1.5418 Å (Cu Kα)).
Lines closer than 0.1° are merged.

The 6 most intense peaks (2θ = 10–90°), most intense first:
- 2θ = 29.3°, I = 1000
- 2θ = 29.7°, I = 484
- 2θ = 52.4°, I = 370
- 2θ = 51.7°, I = 194
- 2θ = 42.5°, I = 183
- 2θ = 60.8°, I = 120

Structure:
Lattice parameters (Å, degrees): 8.5087 8.5175 8.7363 90.00 90.00 90.00
Space group Fmmm (No. 69)
Inequivalent atoms, fractional coordinates:
Rb 0.2500 0.2500 0.2500 [8 per cell]
Cu 0.0000 0.0000 0.0000 [4 per cell]
Ag 0.0000 0.0000 0.5000 [4 per cell]
H 0.0000 0.0000 0.3031 [8 per cell]
H 0.0000 0.1801 0.0000 [8 per cell]
H 0.1803 0.0000 0.0000 [8 per cell]